[1]
This entry pairs a crystal structure of GdB4As with its calculated powder XRD pattern. Radiation: Cu Kα (weighted mean of Kα1 and Kα2). Structure: a structure optimized by DFT (PBE).
No peak broadening, texture or thermal motion is included.

Principal peaks in the range 5 to 70 degrees two-theta, by angle:
| 2θ/deg | I_rel |
| --- | --- |
| 20.5 | 1000 |
| 33.4 | 568 |
| 35.9 | 268 |
| 39.5 | 890 |
| 41.7 | 621 |
| 54.5 | 290 |
| 56.2 | 140 |
| 62.2 | 109 |
| 62.9 | 125 |
| 66.9 | 136 |

Cell and atoms:
Unit cell a=5.248 b=5.248 c=5.248 alpha=144.73 beta=122.97 gamma=68.86
Positions (direct):
Gd1 0.000 0.000 0.000
B1 0.047 0.731 0.316
B2 0.415 0.731 0.684
B3 0.585 0.269 0.316
B4 0.953 0.269 0.684
As1 0.500 0.500 0.000



[2]
This entry pairs a crystal structure of Nd2GdNi2B2As3 with its calculated powder XRD pattern. Radiation: Cu Kα (weighted mean of Kα1 and Kα2). Structure: a structure optimized by DFT (PBE).
No peak broadening, texture or thermal motion is included.

Principal peaks in the range 5 to 70 degrees two-theta, by angle:
| 2θ/deg | I_rel |
| --- | --- |
| 24.8 | 474 |
| 30.7 | 1000 |
| 31.8 | 445 |
| 32.3 | 687 |
| 34.8 | 413 |
| 39.4 | 989 |
| 44.0 | 791 |
| 45.2 | 428 |
| 55.6 | 572 |
| 67.4 | 331 |

Cell and atoms:
Unit cell a=11.450 b=11.450 c=11.450 alpha=159.29 beta=159.29 gamma=29.46
Positions (direct):
Nd1 0.142 0.142 0.000
Nd2 0.858 0.858 0.000
Gd1 0.500 0.500 0.000
Ni1 0.250 0.750 0.500
Ni2 0.750 0.250 0.500
B1 0.277 0.277 0.000
B2 0.723 0.723 0.000
As1 0.000 0.000 0.000
As2 0.371 0.371 0.000
As3 0.629 0.629 0.000



[3]
This entry pairs a crystal structure of HgB4As with its calculated powder XRD pattern. Radiation: Cu Kα (weighted mean of Kα1 and Kα2). Structure: a structure optimized by DFT (PBE).
No peak broadening, texture or thermal motion is included.

Principal peaks in the range 5 to 70 degrees two-theta, by angle:
| 2θ/deg | I_rel |
| --- | --- |
| 9.5 | 588 |
| 19.0 | 731 |
| 34.2 | 596 |
| 35.6 | 257 |
| 38.6 | 175 |
| 39.4 | 1000 |
| 45.2 | 103 |
| 52.5 | 389 |
| 61.3 | 151 |
| 64.8 | 183 |

Cell and atoms:
Unit cell a=3.025 b=3.025 c=9.335 alpha=90.00 beta=90.00 gamma=120.00
Positions (direct):
Hg1 0.000 0.000 0.000
B1 0.333 0.667 0.298
B2 0.333 0.667 0.702
B3 0.667 0.333 0.298
B4 0.667 0.333 0.702
As1 0.000 0.000 0.500